Calculated powder diffraction line list of LiCoSiO4 for λ = 1.5418 Å (Cu Kα), from a crystal structure in the Materials Project, relaxed with GGA+U.

Peak list (10 most intense, 2θ = 10–90°, most intense first)
2θ 23.25, d = 3.826 Å, I = 100, (1 1 1); 2θ 20.45, d = 4.343 Å, I = 99, (1 1 0); 2θ 21.99, d = 4.042 Å, I = 96, (0 0 2); 2θ 39.35, d = 2.290 Å, I = 61, (1 1 3); 2θ 30.21, d = 2.959 Å, I = 46, (1 1 2); 2θ 31.47, d = 2.843 Å, I = 35, (2 1 0); 2θ 35.81, d = 2.507 Å, I = 32, (3 0 0); 2θ 42.42, d = 2.131 Å, I = 28, (3 0 2); 2θ 37.56, d = 2.395 Å, I = 25, (3 0 1); 2θ 61.16, d = 1.515 Å, I = 25, (1 1 5)

Cell and atoms:
a b c (Å): 8.6855 8.6855 8.0845
angles (deg): 90.00 90.00 120.00
Element x y z (fractional)
Li (0.0000, 0.0000, 0.0000)
Li (0.0000, 0.0000, 0.5000)
Li (0.3333, 0.6667, 0.1523)
Li (0.3333, 0.6667, 0.6672)
Li (0.6667, 0.3333, 0.1672)
Li (0.6667, 0.3333, 0.6523)
Co (0.0355, 0.6915, 0.8100)
Co (0.3085, 0.3439, 0.8100)
Co (0.3439, 0.0355, 0.3100)
Co (0.6561, 0.9645, 0.8100)
Co (0.6915, 0.6561, 0.3100)
Co (0.9645, 0.3085, 0.3100)
Si (0.0470, 0.6891, 0.4242)
Si (0.3109, 0.3579, 0.4242)
Si (0.3579, 0.0470, 0.9242)
Si (0.6421, 0.9530, 0.4242)
Si (0.6891, 0.6421, 0.9242)
Si (0.9530, 0.3109, 0.9242)
O (0.0806, 0.5251, 0.9026)
O (0.0874, 0.2277, 0.9149)
O (0.1403, 0.9126, 0.9149)
O (0.1491, 0.7355, 0.6044)
O (0.2056, 0.7862, 0.2839)
O (0.2138, 0.4194, 0.2839)
O (0.2277, 0.1403, 0.4149)
O (0.2645, 0.4137, 0.6044)
O (0.4137, 0.1491, 0.1044)
O (0.4194, 0.2056, 0.7839)
O (0.4446, 0.9194, 0.9026)
O (0.4749, 0.5554, 0.9026)
O (0.5251, 0.4446, 0.4026)
O (0.5554, 0.0806, 0.4026)
O (0.5806, 0.7944, 0.2839)
O (0.5863, 0.8509, 0.6044)
O (0.7355, 0.5863, 0.1044)
O (0.7723, 0.8597, 0.9149)
O (0.7862, 0.5806, 0.7839)
O (0.7944, 0.2138, 0.7839)
O (0.8509, 0.2645, 0.1044)
O (0.8597, 0.0874, 0.4149)
O (0.9126, 0.7723, 0.4149)
O (0.9194, 0.4749, 0.4026)